[1]
K2TiF5: simulated X-ray diffraction stick pattern (Cu Kα (weighted mean of Kα1 and Kα2)), based on a structure optimized by DFT (GGA-PBE).
Intensities are scaled so that the largest is 100.

The 10 most intense peaks (2θ = 10–80°), sorted by position:
2θ (°), I (rel.)
16.5, 26
28.4, 25
28.5, 100
29.0, 17
35.5, 19
36.1, 16
38.3, 30
43.1, 19
47.1, 19
51.1, 23

```
data_K2TiF5
_space_group_name_H-M_alt 'P 1'
_space_group_IT_number 1
_space_group_name_Hall 'P 1'
_cell_length_a 6.1580
_cell_length_b 7.7105
_cell_length_c 10.8923
_cell_angle_alpha 90.00
_cell_angle_beta 90.00
_cell_angle_gamma 90.00
loop_
_atom_site_label
_atom_site_type_symbol
_atom_site_fract_x
_atom_site_fract_y
_atom_site_fract_z
_atom_site_occupancy
K1 K 0.0094 0.2500 0.1332 1
K2 K 0.0893 0.7500 0.2112 1
K3 K 0.4107 0.2500 0.7112 1
K4 K 0.4906 0.7500 0.6332 1
K5 K 0.5094 0.2500 0.3668 1
K6 K 0.5893 0.7500 0.2888 1
K7 K 0.9107 0.2500 0.7888 1
K8 K 0.9906 0.7500 0.8668 1
Ti1 Ti 0.0000 0.0000 0.5000 1
Ti2 Ti 0.0000 0.5000 0.5000 1
Ti3 Ti 0.5000 0.0000 0.0000 1
Ti4 Ti 0.5000 0.5000 0.0000 1
F1 F 0.0926 0.2500 0.5138 1
F2 F 0.1194 0.5322 0.6674 1
F3 F 0.1194 0.9678 0.6674 1
F4 F 0.2132 0.0574 0.9295 1
F5 F 0.2132 0.4426 0.9295 1
F6 F 0.2868 0.5574 0.4295 1
F7 F 0.2868 0.9426 0.4295 1
F8 F 0.3806 0.0322 0.1674 1
F9 F 0.3806 0.4678 0.1674 1
F10 F 0.4074 0.7500 0.0138 1
F11 F 0.5926 0.2500 0.9862 1
F12 F 0.6194 0.5322 0.8326 1
F13 F 0.6194 0.9678 0.8326 1
F14 F 0.7132 0.0574 0.5705 1
F15 F 0.7132 0.4426 0.5705 1
F16 F 0.7868 0.5574 0.0705 1
F17 F 0.7868 0.9426 0.0705 1
F18 F 0.8806 0.0322 0.3326 1
F19 F 0.8806 0.4678 0.3326 1
F20 F 0.9074 0.7500 0.4862 1
```

[2]
K3TlF6: simulated X-ray diffraction stick pattern (Cu Kα (weighted mean of Kα1 and Kα2)), based on a structure optimized by DFT (GGA-PBE).
Intensities are scaled so that the largest is 100.

The 10 most intense peaks (2θ = 10–80°), sorted by position:
2θ (°), I (rel.)
16.3, 75
18.9, 56
26.8, 100
31.6, 38
38.3, 45
43.0, 27
47.4, 41
55.3, 28
62.5, 19
75.7, 21

```
data_K3TlF6
_space_group_name_H-M_alt 'P 1'
_space_group_IT_number 1
_space_group_name_Hall 'P 1'
_cell_length_a 6.6487
_cell_length_b 6.6487
_cell_length_c 6.6487
_cell_angle_alpha 60.00
_cell_angle_beta 60.00
_cell_angle_gamma 60.00
loop_
_atom_site_label
_atom_site_type_symbol
_atom_site_fract_x
_atom_site_fract_y
_atom_site_fract_z
_atom_site_occupancy
K1 K 0.0000 0.0000 0.0000 1
K2 K 0.2500 0.2500 0.2500 1
K3 K 0.7500 0.7500 0.7500 1
Tl1 Tl 0.5000 0.5000 0.5000 1
F1 F 0.2673 0.2673 0.7327 1
F2 F 0.2673 0.7327 0.2673 1
F3 F 0.2673 0.7327 0.7327 1
F4 F 0.7327 0.2673 0.2673 1
F5 F 0.7327 0.2673 0.7327 1
F6 F 0.7327 0.7327 0.2673 1
```

[3]
K3TlF6: simulated X-ray diffraction stick pattern (Cu Kα (weighted mean of Kα1 and Kα2)), based on a structure optimized by DFT (GGA-PBE).
Intensities are scaled so that the largest is 100.

The 10 most intense peaks (2θ = 10–80°), sorted by position:
2θ (°), I (rel.)
16.6, 77
19.1, 48
27.2, 100
32.0, 36
38.8, 34
43.7, 23
48.1, 52
56.1, 18
63.4, 20
76.9, 23

```
data_K3TlF6
_space_group_name_H-M_alt 'P 1'
_space_group_IT_number 1
_space_group_name_Hall 'P 1'
_cell_length_a 9.2724
_cell_length_b 9.2724
_cell_length_c 9.2724
_cell_angle_alpha 90.00
_cell_angle_beta 90.00
_cell_angle_gamma 90.00
loop_
_atom_site_label
_atom_site_type_symbol
_atom_site_fract_x
_atom_site_fract_y
_atom_site_fract_z
_atom_site_occupancy
K1 K 0.0000 0.0000 0.0000 1
K2 K 0.0000 0.5000 0.5000 1
K3 K 0.2500 0.2500 0.2500 1
K4 K 0.2500 0.2500 0.7500 1
K5 K 0.2500 0.7500 0.2500 1
K6 K 0.2500 0.7500 0.7500 1
K7 K 0.5000 0.0000 0.5000 1
K8 K 0.5000 0.5000 0.0000 1
K9 K 0.7500 0.2500 0.2500 1
K10 K 0.7500 0.2500 0.7500 1
K11 K 0.7500 0.7500 0.2500 1
K12 K 0.7500 0.7500 0.7500 1
Tl1 Tl 0.0000 0.0000 0.5000 1
Tl2 Tl 0.0000 0.5000 0.0000 1
Tl3 Tl 0.5000 0.0000 0.0000 1
Tl4 Tl 0.5000 0.5000 0.5000 1
F1 F 0.0421 0.5557 0.7726 1
F2 F 0.0421 0.9443 0.7274 1
F3 F 0.0557 0.2274 0.5421 1
F4 F 0.0557 0.2726 0.9579 1
F5 F 0.2274 0.5421 0.0557 1
F6 F 0.2274 0.9579 0.4443 1
F7 F 0.2726 0.5421 0.4443 1
F8 F 0.2726 0.9579 0.0557 1
F9 F 0.4443 0.2274 0.9579 1
F10 F 0.4443 0.2726 0.5421 1
F11 F 0.4579 0.5557 0.7274 1
F12 F 0.4579 0.9443 0.7726 1
F13 F 0.5421 0.0557 0.2274 1
F14 F 0.5421 0.4443 0.2726 1
F15 F 0.5557 0.7274 0.4579 1
F16 F 0.5557 0.7726 0.0421 1
F17 F 0.7274 0.0421 0.9443 1
F18 F 0.7274 0.4579 0.5557 1
F19 F 0.7726 0.0421 0.5557 1
F20 F 0.7726 0.4579 0.9443 1
F21 F 0.9443 0.7274 0.0421 1
F22 F 0.9443 0.7726 0.4579 1
F23 F 0.9579 0.0557 0.2726 1
F24 F 0.9579 0.4443 0.2274 1
```

[4]
KTlF3: simulated X-ray diffraction stick pattern (Cu Kα (weighted mean of Kα1 and Kα2)), based on a structure optimized by DFT (GGA-PBE).
Intensities are scaled so that the largest is 100.

The 10 most intense peaks (2θ = 10–80°), sorted by position:
2θ (°), I (rel.)
18.5, 74
26.3, 100
37.5, 35
42.2, 37
46.4, 43
54.1, 23
57.7, 19
61.2, 20
70.9, 9
74.0, 23

```
data_KTlF3
_space_group_name_H-M_alt 'P 1'
_space_group_IT_number 1
_space_group_name_Hall 'P 1'
_cell_length_a 6.7766
_cell_length_b 6.7766
_cell_length_c 6.7766
_cell_angle_alpha 60.00
_cell_angle_beta 60.00
_cell_angle_gamma 60.00
loop_
_atom_site_label
_atom_site_type_symbol
_atom_site_fract_x
_atom_site_fract_y
_atom_site_fract_z
_atom_site_occupancy
K1 K 0.2500 0.2500 0.2500 1
K2 K 0.7500 0.7500 0.7500 1
Tl1 Tl 0.0000 0.0000 0.0000 1
Tl2 Tl 0.5000 0.5000 0.5000 1
F1 F 0.2297 0.2297 0.7703 1
F2 F 0.2297 0.7703 0.2297 1
F3 F 0.2297 0.7703 0.7703 1
F4 F 0.7703 0.2297 0.2297 1
F5 F 0.7703 0.2297 0.7703 1
F6 F 0.7703 0.7703 0.2297 1
```

[5]
K2YTlF6: simulated X-ray diffraction stick pattern (Cu Kα (weighted mean of Kα1 and Kα2)), based on a structure optimized by DFT (GGA-PBE).
Intensities are scaled so that the largest is 100.

The 10 most intense peaks (2θ = 10–80°), sorted by position:
2θ (°), I (rel.)
18.4, 63
26.1, 100
30.7, 15
37.3, 40
41.9, 30
46.1, 41
53.7, 25
57.3, 15
60.7, 20
73.4, 22

```
data_K2YTlF6
_space_group_name_H-M_alt 'P 1'
_space_group_IT_number 1
_space_group_name_Hall 'P 1'
_cell_length_a 6.8220
_cell_length_b 6.8220
_cell_length_c 6.8220
_cell_angle_alpha 60.00
_cell_angle_beta 60.00
_cell_angle_gamma 60.00
loop_
_atom_site_label
_atom_site_type_symbol
_atom_site_fract_x
_atom_site_fract_y
_atom_site_fract_z
_atom_site_occupancy
K1 K 0.2500 0.2500 0.2500 1
K2 K 0.7500 0.7500 0.7500 1
Y1 Y 0.0000 0.0000 0.0000 1
Tl1 Tl 0.5000 0.5000 0.5000 1
F1 F 0.2260 0.2260 0.7740 1
F2 F 0.2260 0.7740 0.2260 1
F3 F 0.2260 0.7740 0.7740 1
F4 F 0.7740 0.2260 0.2260 1
F5 F 0.7740 0.2260 0.7740 1
F6 F 0.7740 0.7740 0.2260 1
```

[6]
K3TmF6: simulated X-ray diffraction stick pattern (Cu Kα (weighted mean of Kα1 and Kα2)), based on a structure optimized by DFT (GGA-PBE).
Intensities are scaled so that the largest is 100.

The 10 most intense peaks (2θ = 10–80°), sorted by position:
2θ (°), I (rel.)
16.6, 87
17.0, 77
19.4, 100
27.1, 39
27.6, 80
27.7, 78
28.1, 34
32.8, 37
39.4, 48
49.3, 37

```
data_K3TmF6
_space_group_name_H-M_alt 'P 1'
_space_group_IT_number 1
_space_group_name_Hall 'P 1'
_cell_length_a 6.3566
_cell_length_b 6.5721
_cell_length_c 11.0822
_cell_angle_alpha 90.00
_cell_angle_beta 124.68
_cell_angle_gamma 90.00
loop_
_atom_site_label
_atom_site_type_symbol
_atom_site_fract_x
_atom_site_fract_y
_atom_site_fract_z
_atom_site_occupancy
K1 K 0.0000 0.0000 0.0000 1
K2 K 0.0000 0.5000 0.5000 1
K3 K 0.2350 0.0493 0.7470 1
K4 K 0.2350 0.4507 0.2470 1
K5 K 0.7650 0.5493 0.7530 1
K6 K 0.7650 0.9507 0.2530 1
Tm1 Tm 0.5000 0.0000 0.5000 1
Tm2 Tm 0.5000 0.5000 0.0000 1
F1 F 0.1764 0.1753 0.4532 1
F2 F 0.1764 0.3247 0.9532 1
F3 F 0.2679 0.7288 0.4362 1
F4 F 0.2679 0.7712 0.9362 1
F5 F 0.3821 0.0491 0.2776 1
F6 F 0.3821 0.4509 0.7776 1
F7 F 0.6179 0.5491 0.2224 1
F8 F 0.6179 0.9509 0.7224 1
F9 F 0.7321 0.2288 0.0638 1
F10 F 0.7321 0.2712 0.5638 1
F11 F 0.8236 0.6753 0.0468 1
F12 F 0.8236 0.8247 0.5468 1
```

[7]
K3TmF6: simulated X-ray diffraction stick pattern (Cu Kα (weighted mean of Kα1 and Kα2)), based on a structure optimized by DFT (GGA-PBE).
Intensities are scaled so that the largest is 100.

The 10 most intense peaks (2θ = 10–80°), sorted by position:
2θ (°), I (rel.)
15.9, 100
17.8, 30
19.4, 18
25.3, 82
26.5, 62
32.0, 22
36.1, 19
39.6, 17
45.3, 41
47.4, 27

```
data_K3TmF6
_space_group_name_H-M_alt 'P 1'
_space_group_IT_number 1
_space_group_name_Hall 'P 1'
_cell_length_a 6.7629
_cell_length_b 6.7629
_cell_length_c 6.7629
_cell_angle_alpha 117.24
_cell_angle_beta 117.24
_cell_angle_gamma 94.86
loop_
_atom_site_label
_atom_site_type_symbol
_atom_site_fract_x
_atom_site_fract_y
_atom_site_fract_z
_atom_site_occupancy
K1 K 0.0000 0.0000 0.0000 1
K2 K 0.2500 0.7500 0.5000 1
K3 K 0.7500 0.2500 0.5000 1
Tm1 Tm 0.5000 0.5000 0.0000 1
F1 F 0.1963 0.5000 0.6963 1
F2 F 0.2637 0.2637 0.0000 1
F3 F 0.5000 0.1963 0.6963 1
F4 F 0.5000 0.8037 0.3037 1
F5 F 0.7363 0.7363 0.0000 1
F6 F 0.8037 0.5000 0.3037 1
```